This entry pairs a crystal structure of AlH3O3 with its simulated powder diffraction line list. Radiation: CuKα. Structure: a cell relaxed with PBE.

Structure:
```
data_AlH3O3
_cell_length_a 5.005
_cell_length_b 8.853
_cell_length_c 9.597
_cell_angle_alpha 87.91
_cell_angle_beta 89.63
_cell_angle_gamma 87.64
_symmetry_space_group_name_H-M 'P 1'
_symmetry_Int_Tables_number 1
_symmetry_space_group_name_Hall 'P 1'
loop_
_atom_site_label
_atom_site_fract_x
_atom_site_fract_y
_atom_site_fract_z
Al1 0.000 0.000 0.000
Al2 0.003 0.664 0.501
Al3 0.016 0.656 0.997
Al4 0.040 0.997 0.496
Al5 0.497 0.166 0.997
Al6 0.520 0.170 0.500
Al7 0.528 0.494 0.993
Al8 0.535 0.507 0.505
H1 0.029 0.233 0.884
H2 0.109 0.432 0.875
H3 0.156 0.833 0.768
H4 0.205 0.374 0.393
H5 0.206 0.142 0.706
H6 0.219 0.526 0.702
H7 0.310 0.018 0.199
H8 0.334 0.642 0.198
H9 0.367 0.778 0.606
H10 0.377 0.837 0.890
H11 0.392 0.331 0.200
H12 0.449 0.738 0.381
H13 0.494 0.941 0.377
H14 0.637 0.333 0.786
H15 0.660 0.904 0.614
H16 0.684 0.821 0.095
H17 0.705 0.027 0.788
H18 0.711 0.647 0.780
H19 0.810 0.135 0.208
H20 0.834 0.523 0.290
H21 0.865 0.320 0.608
H22 0.910 0.255 0.380
H23 0.921 0.836 0.289
H24 0.948 0.405 0.111
O1 0.175 0.155 0.883
O2 0.178 0.821 0.610
O3 0.180 0.836 0.877
O4 0.205 0.511 0.601
O5 0.206 0.144 0.601
O6 0.213 0.523 0.880
O7 0.319 0.007 0.097
O8 0.334 0.651 0.380
O9 0.340 0.646 0.094
O10 0.354 0.022 0.385
O11 0.368 0.332 0.098
O12 0.394 0.342 0.390
O13 0.661 0.328 0.889
O14 0.670 0.325 0.608
O15 0.687 0.015 0.891
O16 0.688 0.660 0.601
O17 0.708 0.648 0.887
O18 0.724 0.008 0.606
O19 0.809 0.137 0.105
O20 0.841 0.153 0.387
O21 0.841 0.502 0.105
O22 0.856 0.510 0.392
O23 0.880 0.821 0.097
O24 0.883 0.843 0.390
```

Largest 10 diffraction maxima, by angle, 10° ≤ 2θ ≤ 80°:
2θ (°), I (rel.), (hkl)
18.50, 100, 0 0 2
20.04, 17, 1 1 0
20.09, 20, 0 2 0
20.76, 15, 1 -1 0
27.74, 9, -1 1 2
36.30, 13, 1 3 -1
37.16, 17, 2 0 -1
37.51, 15, 1 -3 1
40.23, 10, 1 3 -2
45.49, 10, -1 3 3

---

This entry pairs a crystal structure of AlH3O3 with its simulated powder diffraction line list. Radiation: CuKα. Structure: a cell relaxed with PBE.

Structure:
```
data_AlH3O3
_cell_length_a 8.682
_cell_length_b 5.180
_cell_length_c 12.733
_cell_angle_alpha 90.00
_cell_angle_beta 131.56
_cell_angle_gamma 90.00
_symmetry_space_group_name_H-M 'P 1 c 1'
_symmetry_Int_Tables_number 7
_symmetry_space_group_name_Hall 'P -2yc'
loop_
_atom_site_label
_atom_site_fract_x
_atom_site_fract_y
_atom_site_fract_z
Al1 0.000 0.230 0.000
Al2 0.359 0.252 0.018
Al3 0.489 0.234 0.509
Al4 0.837 0.256 0.493
H1 0.112 0.077 0.403
H2 0.156 0.441 0.299
H3 0.212 0.160 0.622
H4 0.293 0.070 0.804
H5 0.363 0.333 0.208
H6 0.548 0.448 0.888
H7 0.640 0.050 0.783
H8 0.676 0.481 0.214
H9 0.757 0.079 0.092
H10 0.841 0.396 0.113
H11 0.913 0.108 0.735
H12 0.964 0.382 0.375
O1 0.065 0.104 0.884
O2 0.100 0.081 0.612
O3 0.238 0.424 0.401
O4 0.263 0.372 0.107
O5 0.402 0.081 0.906
O6 0.474 0.046 0.623
O7 0.560 0.364 0.397
O8 0.601 0.457 0.113
O9 0.756 0.047 0.894
O10 0.796 0.101 0.621
O11 0.876 0.462 0.390
O12 0.945 0.435 0.107
```

Largest 10 diffraction maxima, by angle, 10° ≤ 2θ ≤ 80°:
2θ (°), I (rel.), (hkl)
18.63, 100, 0 0 2
19.96, 40, 1 1 -1
20.46, 22, 2 0 -2
35.93, 19, 0 2 1
36.61, 18, 3 1 -2
37.01, 22, 3 1 -4
45.18, 16, 0 2 3
45.39, 17, 3 1 0
52.19, 36, 0 2 4
62.66, 17, 3 3 -3